Record 1
# Cs2Br
Simulated X-ray diffraction stick pattern, CuKα. Input: a DFT-relaxed cell (PBE, Alexandria).

Structural model:
```
data_Cs2Br
_chemical_formula_sum 'Cs8 Br4'
_symmetry_space_group_name_H-M 'C m c m'
_symmetry_Int_Tables_number 63
_symmetry_space_group_name_Hall '-C 2c 2'
_cell_length_a 5.244
_cell_length_b 21.934
_cell_length_c 7.496
_cell_angle_alpha 90.00
_cell_angle_beta 90.00
_cell_angle_gamma 90.00
loop_
_atom_site_label
_atom_site_type_symbol
_atom_site_fract_x
_atom_site_fract_y
_atom_site_fract_z
Cs1 Cs 0.000 0.076 0.250
Cs2 Cs 0.000 0.312 0.250
Br1 Br 0.000 0.305 0.750
```

Top 10 peaks for 10 to 80 degrees two-theta, low angle first:
| Position (°2θ) | intensity | (hkl) |
| --- | --- | --- |
| 20.1 | 66 | 0 4 1 |
| 20.8 | 90 | 1 3 0 |
| 21.1 | 41 | 1 1 1 |
| 23.7 | 88 | 0 0 2 |
| 24.0 | 43 | 1 3 1 |
| 26.5 | 100 | 1 5 0 |
| 31.8 | 62 | 1 3 2 |
| 34.2 | 34 | 2 0 0 |
| 35.9 | 89 | 1 5 2 |
| 42.1 | 38 | 2 0 2 |



Record 2
# Cs4Br
Simulated X-ray diffraction stick pattern, CuKα. Input: a DFT-relaxed cell (PBE, Alexandria).

Structural model:
```
data_Cs4Br
_chemical_formula_sum 'Cs4 Br1'
_symmetry_space_group_name_H-M 'P m -3 m'
_symmetry_Int_Tables_number 221
_symmetry_space_group_name_Hall '-P 4 2 3'
_cell_length_a 7.526
_cell_length_b 7.526
_cell_length_c 7.526
_cell_angle_alpha 90.00
_cell_angle_beta 90.00
_cell_angle_gamma 90.00
loop_
_atom_site_label
_atom_site_type_symbol
_atom_site_fract_x
_atom_site_fract_y
_atom_site_fract_z
Cs1 Cs 0.000 0.000 0.000
Cs2 Cs 0.000 0.500 0.500
Br1 Br 0.500 0.500 0.500
```

Top 10 peaks for 10 to 80 degrees two-theta, low angle first:
| Position (°2θ) | intensity | (hkl) |
| --- | --- | --- |
| 20.4 | 99 | 1 1 1 |
| 23.6 | 100 | 2 0 0 |
| 33.7 | 80 | 2 2 0 |
| 39.7 | 53 | 3 1 1 |
| 41.6 | 29 | 2 2 2 |
| 53.0 | 23 | 3 3 1 |
| 54.5 | 39 | 4 2 0 |
| 60.2 | 29 | 4 2 2 |
| 64.3 | 17 | 5 1 1 |
| 75.8 | 19 | 6 0 0 |



Record 3
# CsBr2
Simulated X-ray diffraction stick pattern, CuKα. Input: a DFT-relaxed cell (PBE, Alexandria).

Structural model:
```
data_CsBr2
_chemical_formula_sum 'Cs2 Br4'
_symmetry_space_group_name_H-M 'P -1'
_symmetry_Int_Tables_number 2
_symmetry_space_group_name_Hall '-P 1'
_cell_length_a 5.770
_cell_length_b 5.793
_cell_length_c 9.087
_cell_angle_alpha 89.00
_cell_angle_beta 88.73
_cell_angle_gamma 73.64
loop_
_atom_site_label
_atom_site_type_symbol
_atom_site_fract_x
_atom_site_fract_y
_atom_site_fract_z
Cs1 Cs 0.212 0.212 0.231
Br1 Br 0.174 0.176 0.831
Br2 Br 0.402 0.402 0.600
```

Top 10 peaks for 10 to 80 degrees two-theta, low angle first:
| Position (°2θ) | intensity | (hkl) |
| --- | --- | --- |
| 18.9 | 29 | 1 0 -1 |
| 19.2 | 44 | 1 1 0 |
| 19.5 | 47 | 0 0 2 |
| 25.7 | 100 | 1 -1 0 |
| 27.2 | 69 | 1 1 2 |
| 33.5 | 32 | 1 2 -1 |
| 33.6 | 30 | 2 1 -1 |
| 33.9 | 29 | 0 1 -3 |
| 34.0 | 29 | 1 0 -3 |
| 37.8 | 56 | 2 0 2 |



Record 4
# Cs4Cu3Br12
Simulated X-ray diffraction stick pattern, CuKα. Input: a DFT-relaxed cell (PBE, Alexandria).

Structural model:
```
data_Cs4Cu3Br12
_chemical_formula_sum 'Cs8 Cu6 Br24'
_symmetry_space_group_name_H-M 'I m -3'
_symmetry_Int_Tables_number 204
_symmetry_space_group_name_Hall '-I 2 2 3'
_cell_length_a 12.319
_cell_length_b 12.319
_cell_length_c 12.319
_cell_angle_alpha 90.00
_cell_angle_beta 90.00
_cell_angle_gamma 90.00
loop_
_atom_site_label
_atom_site_type_symbol
_atom_site_fract_x
_atom_site_fract_y
_atom_site_fract_z
Cs1 Cs 0.250 0.250 0.250
Cu1 Cu 0.000 0.000 0.500
Br1 Br 0.000 0.136 0.364
```

Top 10 peaks for 10 to 80 degrees two-theta, low angle first:
| Position (°2θ) | intensity | (hkl) |
| --- | --- | --- |
| 10.2 | 51 | 1 1 0 |
| 17.6 | 31 | 2 1 1 |
| 20.4 | 100 | 2 2 0 |
| 22.8 | 95 | 3 1 0 |
| 32.5 | 59 | 4 0 2 |
| 35.7 | 78 | 4 2 2 |
| 37.2 | 62 | 4 1 3 |
| 46.6 | 34 | 6 2 0 |
| 51.4 | 36 | 4 4 4 |
| 65.1 | 25 | 7 3 4 |